For Pm5PrTm3, DFT lattice parameters and positions (GGA-PBE) gives the calculated X-ray powder pattern in this record (Cu Kα (weighted mean of Kα1 and Kα2)).

Largest 10 diffraction maxima, by angle, 2θ from 10° to 90°:
- (1 3 0), 2θ = 29.06°, d = 3.073 Å, rel. 35
- (6 0 0), 2θ = 30.47°, d = 2.934 Å, rel. 100
- (2 2 2), 2θ = 32.77°, d = 2.733 Å, rel. 36
- (4 2 2), 2θ = 37.38°, d = 2.406 Å, rel. 19
- (5 3 0), 2θ = 38.59°, d = 2.333 Å, rel. 19
- (0 0 4), 2θ = 50.07°, d = 1.822 Å, rel. 10
- (8 2 2), 2θ = 52.43°, d = 1.745 Å, rel. 12
- (9 1 2), 2θ = 54.20°, d = 1.692 Å, rel. 11
- (3 5 2), 2θ = 57.54°, d = 1.602 Å, rel. 18
- (6 0 4), 2θ = 59.79°, d = 1.547 Å, rel. 11

Structural model:
```
data_Pm5PrTm3
_symmetry_space_group_name_H-M 'C m c m'
_symmetry_Int_Tables_number 63
_symmetry_space_group_name_Hall '-C 2c 2'
_cell_length_a 17.569
_cell_length_b 9.362
_cell_length_c 7.287
_cell_angle_alpha 90.00
_cell_angle_beta 90.00
_cell_angle_gamma 90.00
loop_
_atom_site_label
_atom_site_fract_x
_atom_site_fract_y
_atom_site_fract_z
Pm1 0.000 0.165 0.250
Pm2 0.166 0.177 0.501
Pr1 0.000 0.201 0.750
Tm1 0.000 0.500 0.000
Tm2 0.177 0.500 0.250
```